Structure and computed powder X-ray diffraction pattern of Sr7CaIr2O12 (a DFT-relaxed cell (GGA-PBE, Alexandria); copper Kα).

Top 10 peaks for 10 to 90 degrees two-theta, by angle:
2θ (°)	d/Å	I/Imax
18.0	4.922	37
18.3	4.842	50
29.1	3.067	46
31.5	2.842	100
37.1	2.421	30
41.1	2.194	20
41.6	2.173	39
43.4	2.085	29
56.0	1.641	17
56.5	1.629	25

Structure:
```
Sr7CaIr2O12
1.0
4.9224 2.8419 3.9220
-4.9224 2.8419 3.9220
0.0000 -5.6838 3.9220
Sr Ca Ir O
7 1 2 12
Direct
0.0000 0.0000 0.0000 Sr
0.0000 0.3655 0.6345 Sr
0.1371 0.8629 0.5000 Sr
0.3655 0.6345 0.0000 Sr
0.5000 0.1371 0.8629 Sr
0.6345 0.0000 0.3655 Sr
0.8629 0.5000 0.1371 Sr
0.5000 0.5000 0.5000 Ca
0.2536 0.2536 0.2536 Ir
0.7464 0.7464 0.7464 Ir
0.0318 0.6903 0.8225 O
0.1775 0.3097 0.9682 O
0.2012 0.5382 0.3316 O
0.3097 0.9682 0.1775 O
0.3316 0.2012 0.5382 O
0.4618 0.7988 0.6685 O
0.5382 0.3316 0.2012 O
0.6684 0.4618 0.7988 O
0.6903 0.8225 0.0318 O
0.7988 0.6684 0.4618 O
0.8225 0.0318 0.6903 O
0.9682 0.1775 0.3097 O
```